# Na2SO4
Computed powder diffraction line list, Cu Kα X-rays. Input: a crystal structure in the Materials Project, relaxed with GGA-PBE.
Lines closer than 0.1° are merged.

Structural model:
```
data_Na2SO4
_cell_length_a 9.666
_cell_length_b 7.066
_cell_length_c 5.341
_cell_angle_alpha 90.00
_cell_angle_beta 90.00
_cell_angle_gamma 90.00
_symmetry_space_group_name_H-M 'P 1'
_symmetry_Int_Tables_number 1
_symmetry_space_group_name_Hall 'P 1'
loop_
_atom_site_label
_atom_site_type_symbol
_atom_site_fract_x
_atom_site_fract_y
_atom_site_fract_z
Na1 Na 0.000 0.000 0.000
Na2 Na 0.000 0.500 0.000
Na3 Na 0.149 0.250 0.478
Na4 Na 0.351 0.750 0.978
Na5 Na 0.500 0.000 0.500
Na6 Na 0.500 0.500 0.500
Na7 Na 0.649 0.250 0.022
Na8 Na 0.851 0.750 0.522
S1 S 0.177 0.750 0.483
S2 S 0.323 0.250 0.983
S3 S 0.677 0.750 0.017
S4 S 0.823 0.250 0.517
O1 O 0.121 0.578 0.358
O2 O 0.121 0.922 0.358
O3 O 0.135 0.750 0.753
O4 O 0.168 0.250 0.961
O5 O 0.332 0.750 0.461
O6 O 0.365 0.250 0.253
O7 O 0.379 0.078 0.858
O8 O 0.379 0.422 0.858
O9 O 0.621 0.578 0.142
O10 O 0.621 0.922 0.142
O11 O 0.635 0.750 0.747
O12 O 0.668 0.250 0.539
O13 O 0.832 0.750 0.039
O14 O 0.865 0.250 0.247
O15 O 0.879 0.078 0.642
O16 O 0.879 0.422 0.642
```

Principal peaks in the range 2θ from 10° to 80°, in order of falling intensity:
| 2θ (°) | I/Imax |
| --- | --- |
| 32.5 | 100 |
| 22.8 | 95 |
| 31.4 | 76 |
| 31.7 | 48 |
| 25.2 | 41 |
| 33.6 | 39 |
| 46.6 | 35 |
| 34.9 | 25 |
| 22.3 | 25 |
| 37.2 | 22 |

# SiO2
Computed powder diffraction line list, Cu Kα X-rays. Input: a crystal structure in the Materials Project, relaxed with GGA-PBE.
Lines closer than 0.1° are merged.

Structural model:
```
data_SiO2
_cell_length_a 4.233
_cell_length_b 4.233
_cell_length_c 2.693
_cell_angle_alpha 90.00
_cell_angle_beta 90.00
_cell_angle_gamma 90.00
_symmetry_space_group_name_H-M 'P 1'
_symmetry_Int_Tables_number 1
_symmetry_space_group_name_Hall 'P 1'
loop_
_atom_site_label
_atom_site_type_symbol
_atom_site_fract_x
_atom_site_fract_y
_atom_site_fract_z
Si1 Si 0.000 0.000 0.000
Si2 Si 0.500 0.500 0.500
O1 O 0.193 0.193 0.500
O2 O 0.307 0.693 0.000
O3 O 0.693 0.307 0.000
O4 O 0.807 0.807 0.500
```

Principal peaks in the range 2θ from 10° to 80°, in order of falling intensity:
| 2θ (°) | I/Imax |
| --- | --- |
| 29.8 | 100 |
| 59.7 | 60 |
| 45.3 | 40 |
| 76.2 | 29 |
| 39.7 | 24 |
| 62.0 | 20 |
| 48.1 | 16 |
| 77.8 | 11 |
| 69.8 | 11 |
| 70.3 | 6 |

# SrSmGa3O7
Computed powder diffraction line list, Cu Kα X-rays. Input: a crystal structure in the Materials Project, relaxed with GGA-PBE.
Lines closer than 0.1° are merged.

Structural model:
```
data_SrSmGa3O7
_cell_length_a 8.050
_cell_length_b 8.050
_cell_length_c 5.329
_cell_angle_alpha 90.00
_cell_angle_beta 90.00
_cell_angle_gamma 90.95
_symmetry_space_group_name_H-M 'P 1'
_symmetry_Int_Tables_number 1
_symmetry_space_group_name_Hall 'P 1'
loop_
_atom_site_label
_atom_site_type_symbol
_atom_site_fract_x
_atom_site_fract_y
_atom_site_fract_z
Sr1 Sr 0.162 0.838 0.000
Sr2 Sr 0.838 0.162 0.000
Sm1 Sm 0.339 0.339 0.976
Sm2 Sm 0.661 0.661 0.976
Ga1 Ga 0.000 0.500 0.495
Ga2 Ga 0.148 0.148 0.523
Ga3 Ga 0.359 0.641 0.456
Ga4 Ga 0.500 0.000 0.495
Ga5 Ga 0.641 0.359 0.456
Ga6 Ga 0.852 0.852 0.523
O1 O 0.000 0.000 0.672
O2 O 0.099 0.343 0.704
O3 O 0.154 0.154 0.185
O4 O 0.165 0.582 0.286
O5 O 0.343 0.099 0.704
O6 O 0.373 0.627 0.797
O7 O 0.418 0.835 0.286
O8 O 0.500 0.500 0.277
O9 O 0.582 0.165 0.286
O10 O 0.627 0.373 0.797
O11 O 0.657 0.901 0.704
O12 O 0.835 0.418 0.286
O13 O 0.846 0.846 0.185
O14 O 0.901 0.657 0.704
```

Principal peaks in the range 2θ from 10° to 80°, in order of falling intensity:
| 2θ (°) | I/Imax |
| --- | --- |
| 30.1 | 100 |
| 29.8 | 86 |
| 27.8 | 32 |
| 35.5 | 29 |
| 33.6 | 25 |
| 49.7 | 25 |
| 35.1 | 25 |
| 49.4 | 24 |
| 22.8 | 23 |
| 58.0 | 16 |